# 1
For Nd2Al5Cu4, a DFT-relaxed cell (PBE, Alexandria) gives the simulated powder XRD pattern in this record (Cu Ka).
No peak broadening, texture or thermal motion is included.

The 10 most intense peaks (15° ≤ 2θ ≤ 90°), low angle first:
Position (°2θ), d (Å), I/Imax
23.83, 3.734, 61
30.32, 2.948, 37
32.06, 2.792, 40
32.80, 2.731, 69
37.06, 2.426, 100
37.25, 2.414, 30
40.34, 2.236, 72
44.54, 2.034, 21
54.21, 1.692, 33
60.46, 1.531, 23

a b c (Å): 8.879 7.973 5.555
angles (deg): 79.86 62.12 38.01
Positions (direct):
Nd 0.134 0.134 0.866
Nd 0.866 0.866 0.134
Al 0.000 0.000 0.500
Al 0.250 0.250 0.250
Al 0.500 0.500 0.000
Al 0.500 0.500 0.500
Al 0.750 0.750 0.750
Cu 0.223 0.507 0.493
Cu 0.493 0.777 0.223
Cu 0.507 0.223 0.777
Cu 0.777 0.493 0.507

# 2
For BaDy2ZnO5, a DFT-relaxed cell (PBE, Alexandria) gives the simulated powder XRD pattern in this record (Cu Ka).
No peak broadening, texture or thermal motion is included.

The 10 most intense peaks (15° ≤ 2θ ≤ 90°), low angle first:
Position (°2θ), d (Å), I/Imax
15.30, 5.790, 11
30.89, 2.895, 27
31.26, 2.862, 100
38.42, 2.343, 38
38.64, 2.330, 15
43.41, 2.084, 12
50.09, 1.821, 17
50.26, 1.815, 13
55.15, 1.665, 13
58.24, 1.584, 17

a b c (Å): 7.433 7.433 7.433
angles (deg): 127.36 127.36 77.67
Positions (direct):
Ba 0.250 0.250 0.000
Ba 0.750 0.750 0.000
Dy 0.175 0.675 0.851
Dy 0.325 0.175 0.500
Dy 0.675 0.825 0.500
Dy 0.825 0.325 0.149
Zn 0.250 0.750 0.500
Zn 0.750 0.250 0.500
O 0.000 0.000 0.000
O 0.019 0.229 0.500
O 0.229 0.729 0.210
O 0.271 0.481 0.500
O 0.481 0.981 0.210
O 0.500 0.500 0.000
O 0.519 0.019 0.790
O 0.729 0.519 0.500
O 0.771 0.271 0.790
O 0.981 0.771 0.500